# BaVF4
Theoretical powder XRD pattern, Cu Kα (weighted mean of Kα1 and Kα2). Input: a DFT-relaxed cell (GGA+U, Alexandria).
Lines closer than 0.1° are merged.

Structure:
```
BaVF4
1.0
2.1586 -7.6848 0.0000
2.1586 7.6848 0.0000
0.0000 0.0000 5.9547
Ba V F
2 2 8
Direct
0.1561 0.8439 0.7500
0.8439 0.1561 0.2500
0.4065 0.5935 0.7500
0.5935 0.4065 0.2500
0.0968 0.9032 0.2500
0.3103 0.6897 0.0002
0.3103 0.6897 0.4998
0.5000 0.5000 0.0000
0.5000 0.5000 0.5000
0.6897 0.3103 0.9998
0.6897 0.3103 0.5002
0.9032 0.0968 0.7500
```

The 6 most intense peaks (5 to 70 degrees two-theta), in order of rising 2θ:
2θ (°), intensity
23.15, 319
26.15, 1000
27.01, 336
27.63, 559
38.24, 317
40.81, 373